1.
This entry pairs a crystal structure of PmPr3Dy8 with its calculated X-ray powder pattern. Radiation: Cu Kα (weighted mean of Kα1 and Kα2). Structure: a PBE-relaxed structure.
Lines closer than 0.1° are merged.

The 10 most intense peaks (15 to 90 degrees two-theta), by intensity:
(hkl)  2θ/deg  intensity
3 1 2  36.0  100.0
2 2 0  28.8  83.0
0 0 4  31.5  76.4
2 1 1  24.0  72.8
4 0 2  44.3  72.2
2 2 2  32.9  66.2
2 0 2  25.7  60.3
2 2 4  43.2  54.9
4 4 4  69.0  32.0
5 1 2  55.9  28.3

Cell and atoms:
Cell lengths 8.766, 8.766, 11.371 Å; angles 90.00, 90.00, 90.00 degrees
Space group I-42m (No. 121)
Inequivalent atoms, fractional coordinates:
Pm1 0.000 0.000 0.000 (multiplicity 2)
Pr1 0.000 0.000 0.500 (multiplicity 2)
Pr2 0.000 0.500 0.250 (multiplicity 4)
Dy1 0.125 0.125 0.247 (multiplicity 8)
Dy2 0.247 0.247 0.994 (multiplicity 8)

2.
This entry pairs a crystal structure of NdU2Ni9 with its calculated X-ray powder pattern. Radiation: Cu Kα (weighted mean of Kα1 and Kα2). Structure: a PBE-relaxed structure.
Lines closer than 0.1° are merged.

The 10 most intense peaks (15 to 90 degrees two-theta), by intensity:
(hkl)  2θ/deg  intensity
1 1 6  42.9  100.0
1 1 0  36.6  62.8
1 0 7  33.1  62.7
0 2 1  42.7  37.6
0 1 8  36.1  37.6
3 0 6  70.3  22.6
2 2 0  77.8  21.5
0 1 11  45.9  20.7
2 1 7  63.7  20.1
1 0 1  21.2  18.2

Cell and atoms:
Cell lengths 4.9093, 4.9093, 24.5940 Å; angles 90.00, 90.00, 120.00 degrees
Space group R-3m (No. 166, hexagonal axes)
Inequivalent atoms, fractional coordinates:
Nd1 0.0000 0.0000 0.0000 (multiplicity 3)
U1 0.0000 0.0000 0.1420 (multiplicity 6)
Ni1 0.0000 0.0000 0.3330 (multiplicity 6)
Ni2 0.0000 0.0000 0.5000 (multiplicity 3)
Ni3 0.0008 0.5004 0.9160 (multiplicity 18)

3.
This entry pairs a crystal structure of TePt2Se3 with its calculated X-ray powder pattern. Radiation: Cu Kα (weighted mean of Kα1 and Kα2). Structure: a PBE-relaxed structure.
Lines closer than 0.1° are merged.

The 10 most intense peaks (15 to 90 degrees two-theta), by intensity:
(hkl)  2θ/deg  intensity
1 1 2  32.1  100.0
6 0 -4  34.1  45.5
5 1 -6  47.8  35.1
3 1 2  41.6  34.5
1 1 -2  27.2  30.7
7 1 -2  47.4  29.0
4 0 -4  27.9  27.4
3 1 -6  48.9  21.2
0 2 0  47.6  19.6
6 2 -4  59.8  19.2

Cell and atoms:
Cell lengths 16.328, 3.823, 13.211 Å; angles 90.00, 127.57, 90.00 degrees
Space group C2/m (No. 12)
Inequivalent atoms, fractional coordinates:
Te1 0.128 0.000 0.201 (multiplicity 4)
Pt1 0.241 0.000 0.116 (multiplicity 4)
Pt2 0.242 0.500 0.371 (multiplicity 4)
Se1 0.147 0.500 0.958 (multiplicity 4)
Se2 0.151 0.500 0.473 (multiplicity 4)
Se3 0.163 0.000 0.726 (multiplicity 4)

4.
This entry pairs a crystal structure of Sr9Cr2N8 with its calculated X-ray powder pattern. Radiation: Cu Kα (weighted mean of Kα1 and Kα2). Structure: a PBE-relaxed structure.
Lines closer than 0.1° are merged.

The 10 most intense peaks (15 to 90 degrees two-theta), by intensity:
(hkl)  2θ/deg  intensity
5 1 -1  28.0  100.0
0 2 0  34.2  86.6
1 1 -2  27.3  78.3
1 1 2  30.2  58.2
6 0 -3  35.5  38.8
5 1 -5  57.1  33.9
6 0 1  34.6  31.9
4 0 -3  32.3  31.9
6 2 -3  50.1  21.1
4 2 -3  47.8  20.1

Cell and atoms:
Cell lengths 20.223, 5.239, 8.487 Å; angles 90.00, 112.05, 90.00 degrees
Space group C2/m (No. 12)
Inequivalent atoms, fractional coordinates:
Sr1 0.000 0.000 0.000 (multiplicity 2)
Sr2 0.040 0.500 0.741 (multiplicity 4)
Sr3 0.086 0.000 0.490 (multiplicity 4)
Sr4 0.174 0.000 0.949 (multiplicity 4)
Sr5 0.196 0.500 0.327 (multiplicity 4)
Cr1 0.191 0.500 0.696 (multiplicity 4)
N1 0.037 0.000 0.744 (multiplicity 4)
N2 0.114 0.500 0.515 (multiplicity 4)
N3 0.184 0.500 0.891 (multiplicity 4)
N4 0.226 0.000 0.320 (multiplicity 4)

5.
This entry pairs a crystal structure of Sm4PaP6 with its calculated X-ray powder pattern. Radiation: Cu Kα (weighted mean of Kα1 and Kα2). Structure: a PBE-relaxed structure.
Lines closer than 0.1° are merged.

The 10 most intense peaks (15 to 90 degrees two-theta), by intensity:
(hkl)  2θ/deg  intensity
3 0 0  27.6  100.0
1 1 3  24.5  49.7
0 2 4  31.0  48.4
2 1 4  35.0  48.1
3 2 4  48.1  35.9
2 2 3  37.2  32.7
1 3 1  33.9  21.8
3 5 4  73.1  19.9
0 1 2  15.4  19.3
1 1 0  15.8  19.2

Cell and atoms:
Cell lengths 11.2153, 11.2153, 14.3348 Å; angles 90.00, 90.00, 120.00 degrees
Space group R-3c (No. 167, hexagonal axes)
Inequivalent atoms, fractional coordinates:
Sm1 0.0000 0.0000 0.2500 (multiplicity 6)
Sm2 0.0000 0.3763 0.2500 (multiplicity 18)
Pa1 0.0000 0.0000 0.0000 (multiplicity 6)
P1 0.0224 0.2055 0.3891 (multiplicity 36)

6.
This entry pairs a crystal structure of SrLa7ZnCu3O16 with its calculated X-ray powder pattern. Radiation: Cu Kα (weighted mean of Kα1 and Kα2). Structure: a PBE-relaxed structure.
Lines closer than 0.1° are merged.

The 10 most intense peaks (15 to 90 degrees two-theta), by intensity:
(hkl)  2θ/deg  intensity
-1 1 3  31.0  100.0
1 2 0  30.8  98.9
2 0 0  32.3  62.3
0 1 -3  33.5  60.8
2 1 -3  47.2  60.1
1 0 2  24.1  35.2
1 0 -6  58.3  32.9
0 3 3  41.2  22.2
0 1 5  43.6  22.2
-3 1 3  56.8  19.7

Cell and atoms:
Cell lengths 5.547, 7.092, 10.373 Å; angles 72.87, 89.76, 89.65 degrees
Space group P1 (No. 1)
Inequivalent atoms, fractional coordinates:
Sr1 0.000 0.000 0.000 (multiplicity 1)
La1 0.015 0.915 0.642 (multiplicity 1)
La2 0.017 0.424 0.135 (multiplicity 1)
La3 0.485 0.673 0.890 (multiplicity 1)
La4 0.486 0.175 0.389 (multiplicity 1)
La5 0.521 0.242 0.756 (multiplicity 1)
La6 0.521 0.758 0.242 (multiplicity 1)
La7 0.990 0.500 0.498 (multiplicity 1)
Zn1 0.503 0.699 0.565 (multiplicity 1)
Cu1 0.003 0.968 0.317 (multiplicity 1)
Cu2 0.004 0.458 0.821 (multiplicity 1)
Cu3 0.506 0.210 0.069 (multiplicity 1)
O1 0.064 0.727 0.907 (multiplicity 1)
O2 0.070 0.242 0.413 (multiplicity 1)
O3 0.245 0.822 0.435 (multiplicity 1)
O4 0.248 0.554 0.688 (multiplicity 1)
O5 0.258 0.079 0.195 (multiplicity 1)
O6 0.259 0.326 0.938 (multiplicity 1)
O7 0.445 0.494 0.158 (multiplicity 1)
O8 0.445 0.977 0.662 (multiplicity 1)
O9 0.539 0.937 0.979 (multiplicity 1)
O10 0.553 0.448 0.476 (multiplicity 1)
O11 0.752 0.111 0.204 (multiplicity 1)
O12 0.752 0.356 0.948 (multiplicity 1)
O13 0.757 0.864 0.448 (multiplicity 1)
O14 0.759 0.598 0.702 (multiplicity 1)
O15 0.932 0.183 0.716 (multiplicity 1)
O16 0.935 0.672 0.232 (multiplicity 1)